No. 1
Theoretical XRD peak list of RbPm2F7 for Cu Kα (weighted mean of Kα1 and Kα2), from the GGA-PBE geometry in Alexandria.
Neutral-atom scattering factors, no anomalous dispersion.

Crystal structure
```
data_RbPm2F7
_cell_length_a 7.3118
_cell_length_b 11.7639
_cell_length_c 4.5355
_cell_angle_alpha 90.00
_cell_angle_beta 90.00
_cell_angle_gamma 90.00
_space_group_name_H-M_alt 'C m m m'
_space_group_IT_number 65
_space_group_name_Hall '-C 2 2'
loop_
_atom_site_label
_atom_site_fract_x
_atom_site_fract_y
_atom_site_fract_z
Rb1 0.0000 0.0000 0.0000
Pm1 0.0000 0.3062 0.5000
F1 0.0000 0.2880 0.0000
F2 0.0000 0.5000 0.5000
F3 0.1893 0.1448 0.5000
```

Most intense lines, 2θ from 10° to 90°, sorted by position:
2theta	I (rel.)
15.06	33
19.57	44
24.33	100
24.79	51
25.78	64
35.02	33
39.75	26
45.15	36


No. 2
Theoretical XRD peak list of Na2SrLi for Cu Kα (weighted mean of Kα1 and Kα2), from the GGA-PBE geometry in Alexandria.
Neutral-atom scattering factors, no anomalous dispersion.

Crystal structure
```
data_Na2SrLi
_cell_length_a 5.1387
_cell_length_b 5.1387
_cell_length_c 5.8415
_cell_angle_alpha 90.00
_cell_angle_beta 90.00
_cell_angle_gamma 90.00
_space_group_name_H-M_alt 'P 4/m m m'
_space_group_IT_number 123
_space_group_name_Hall '-P 4 2'
loop_
_atom_site_label
_atom_site_fract_x
_atom_site_fract_y
_atom_site_fract_z
Na1 0.0000 0.5000 0.0000
Sr1 0.0000 0.0000 0.5000
Li1 0.5000 0.5000 0.5000
```

Most intense lines, 2θ from 10° to 90°, sorted by position:
2theta	I (rel.)
17.26	59
23.05	59
28.94	100
30.61	22
34.92	30
42.26	24
47.11	25
59.00	25


No. 3
Theoretical XRD peak list of Nd3AgPt8 for Cu Kα (weighted mean of Kα1 and Kα2), from the GGA-PBE geometry in Alexandria.
Neutral-atom scattering factors, no anomalous dispersion.

Crystal structure
```
data_Nd3AgPt8
_cell_length_a 5.4698
_cell_length_b 5.4698
_cell_length_c 26.8169
_cell_angle_alpha 90.00
_cell_angle_beta 90.00
_cell_angle_gamma 120.00
_space_group_name_H-M_alt 'R 3 m'
_space_group_IT_number 160
_space_group_name_Hall 'R 3 -2"'
loop_
_atom_site_label
_atom_site_fract_x
_atom_site_fract_y
_atom_site_fract_z
Nd1 0.0000 0.0000 0.0000
Nd2 0.0000 0.0000 0.1296
Nd3 0.0000 0.0000 0.6128
Ag1 0.0000 0.0000 0.4930
Pt1 0.0000 0.0000 0.3104
Pt2 0.0000 0.0000 0.8107
Pt3 0.0003 0.5001 0.0601
Pt4 0.0028 0.5014 0.5608
```

Most intense lines, 2θ from 10° to 90°, sorted by position:
2theta	I (rel.)
19.87	20
32.74	17
38.59	100
40.38	54
46.97	12
62.36	32
68.61	29
82.74	21


No. 4
Theoretical XRD peak list of Ac2SnCl for Cu Kα (weighted mean of Kα1 and Kα2), from the GGA-PBE geometry in Alexandria.
Neutral-atom scattering factors, no anomalous dispersion.

Crystal structure
```
data_Ac2SnCl
_cell_length_a 3.9003
_cell_length_b 5.8631
_cell_length_c 12.0499
_cell_angle_alpha 90.00
_cell_angle_beta 90.00
_cell_angle_gamma 90.00
_space_group_name_H-M_alt 'P m m n'
_space_group_IT_number 59
loop_
_space_group_symop_operation_xyz
'x,y,z'
'-x,-y,-z'
'-x+1/2,-y+1/2,z'
'x+1/2,y+1/2,-z'
'x+1/2,-y,-z'
'-x+1/2,y,z'
'-x,y+1/2,-z'
'x,-y+1/2,z'
loop_
_atom_site_label
_atom_site_fract_x
_atom_site_fract_y
_atom_site_fract_z
Ac1 0.2500 0.2500 0.0959
Ac2 0.2500 0.2500 0.6455
Sn1 0.2500 0.2500 0.3679
Cl1 0.2500 0.7500 0.1201
```

Most intense lines, 2θ from 10° to 90°, sorted by position:
2theta	I (rel.)
21.14	45
27.24	42
27.47	100
29.65	39
30.49	50
35.55	28
40.86	50
43.05	29


No. 5
Theoretical XRD peak list of Mg6ScCd12 for Cu Kα (weighted mean of Kα1 and Kα2), from the GGA-PBE geometry in Alexandria.
Neutral-atom scattering factors, no anomalous dispersion.

Crystal structure
```
data_Mg6ScCd12
_cell_length_a 13.6043
_cell_length_b 13.6043
_cell_length_c 7.7680
_cell_angle_alpha 90.00
_cell_angle_beta 90.00
_cell_angle_gamma 120.00
_space_group_name_H-M_alt 'R -3'
_space_group_IT_number 148
_space_group_name_Hall '-R 3'
loop_
_atom_site_label
_atom_site_fract_x
_atom_site_fract_y
_atom_site_fract_z
Mg1 0.0315 0.2725 0.3308
Sc1 0.0000 0.0000 0.0000
Cd1 0.0163 0.1429 0.6701
Cd2 0.0684 0.5643 0.6734
```

Most intense lines, 2θ from 10° to 90°, sorted by position:
2theta	I (rel.)
18.91	13
23.02	15
34.64	35
35.15	100
40.67	66
58.53	21
59.21	21
70.45	24


No. 6
Theoretical XRD peak list of Y12Tm5Th2 for Cu Kα (weighted mean of Kα1 and Kα2), from the GGA-PBE geometry in Alexandria.
Neutral-atom scattering factors, no anomalous dispersion.

Crystal structure
```
data_Y12Tm5Th2
_cell_length_a 8.3862
_cell_length_b 8.7347
_cell_length_c 10.0091
_cell_angle_alpha 95.33
_cell_angle_beta 101.34
_cell_angle_gamma 118.63
_space_group_name_H-M_alt 'P 1'
_space_group_IT_number 1
_space_group_name_Hall 'P 1'
loop_
_atom_site_label
_atom_site_fract_x
_atom_site_fract_y
_atom_site_fract_z
Y1 0.0000 0.0000 0.0000
Y2 0.0119 0.5998 0.4510
Y3 0.0999 0.3432 0.6696
Y4 0.1753 0.7454 0.8386
Y5 0.2619 0.4878 0.0566
Y6 0.2754 0.0880 0.5087
Y7 0.3725 0.2064 0.8719
Y8 0.4453 0.6216 0.4768
Y9 0.6022 0.0158 0.0804
Y10 0.6731 0.0732 0.4285
Y11 0.8296 0.4678 0.0317
Y12 0.9028 0.8825 0.6366
Tm1 0.4939 0.3071 0.2538
Tm2 0.5672 0.6529 0.8548
Tm3 0.6398 0.0462 0.7553
Tm4 0.7076 0.4365 0.6536
Tm5 0.7809 0.7815 0.2548
Th1 0.0571 0.2598 0.2926
Th2 0.2180 0.8286 0.2159
```

Most intense lines, 2θ from 10° to 90°, sorted by position:
2theta	I (rel.)
31.39	57
31.63	100
31.85	72
32.66	57
32.97	23
33.44	47
33.52	18
47.45	20


No. 7
Theoretical XRD peak list of NaNi5Ge3 for Cu Kα (weighted mean of Kα1 and Kα2), from the GGA-PBE geometry in Alexandria.
Neutral-atom scattering factors, no anomalous dispersion.

Crystal structure
```
data_NaNi5Ge3
_cell_length_a 3.7412
_cell_length_b 12.2787
_cell_length_c 11.6688
_cell_angle_alpha 90.00
_cell_angle_beta 90.00
_cell_angle_gamma 90.00
_space_group_name_H-M_alt 'C m c m'
_space_group_IT_number 63
_space_group_name_Hall '-C 2c 2'
loop_
_atom_site_label
_atom_site_fract_x
_atom_site_fract_y
_atom_site_fract_z
Na1 0.0000 0.1843 0.2500
Ni1 0.0000 0.0000 0.0000
Ni2 0.0000 0.1921 0.5608
Ni3 0.0000 0.4436 0.1394
Ge1 0.0000 0.0982 0.7500
Ge2 0.0000 0.3794 0.5527
```

Most intense lines, 2θ from 10° to 90°, sorted by position:
2theta	I (rel.)
15.19	100
16.31	73
34.04	55
39.87	74
46.45	74
46.92	81
48.68	66
51.26	50


No. 8
Theoretical XRD peak list of Cs2Rb2Hg2Cl for Cu Kα (weighted mean of Kα1 and Kα2), from the GGA-PBE geometry in Alexandria.
Neutral-atom scattering factors, no anomalous dispersion.

Crystal structure
```
data_Cs2Rb2Hg2Cl
_cell_length_a 17.3562
_cell_length_b 4.8449
_cell_length_c 10.4644
_cell_angle_alpha 90.00
_cell_angle_beta 119.96
_cell_angle_gamma 90.00
_space_group_name_H-M_alt 'C 1 2/m 1'
_space_group_IT_number 12
_space_group_name_Hall '-C 2y'
loop_
_atom_site_label
_atom_site_fract_x
_atom_site_fract_y
_atom_site_fract_z
Cs1 0.0508 0.0000 0.3021
Rb1 0.2058 0.5000 0.7825
Hg1 0.0960 0.5000 0.0372
Cl1 0.0000 0.5000 0.5000
```

Most intense lines, 2θ from 10° to 90°, sorted by position:
2theta	I (rel.)
11.77	42
22.94	100
25.35	81
25.70	38
26.30	67
29.94	51
32.11	72
37.11	35